1.
Starting from a crystal structure in the Materials Project, relaxed with GGA-PBE, the powder diffractogram of EuRh2 was simulated for Cu Ka.
Lines closer than 0.1° are merged.

Structural model:
Lattice parameters (Å, degrees): 5.407 5.407 5.407 60.00 60.00 60.00
Atoms (fractional coordinates):
Eu (0.125, 0.125, 0.125)
Eu (0.875, 0.875, 0.875)
Rh (0.000, 0.500, 0.500)
Rh (0.500, 0.000, 0.500)
Rh (0.500, 0.500, 0.000)
Rh (0.500, 0.500, 0.500)

Top 10 peaks for 2θ = 10–90°, in order of rising 2θ:
d 2.703, intensity 40.1; d 2.305, intensity 100.0; d 2.207, intensity 28.6; d 1.912, intensity 1.0; d 1.561, intensity 15.1; d 1.472, intensity 31.9; d 1.352, intensity 26.0; d 1.209, intensity 6.6; d 1.166, intensity 11.3; d 1.153, intensity 10.3

=====

2.
Starting from a crystal structure in the Materials Project, relaxed with GGA-PBE, the powder diffractogram of EuSi3Rh was simulated for Cu Ka.
Lines closer than 0.1° are merged.

Structural model:
Lattice parameters (Å, degrees): 4.222 4.222 9.960 90.00 90.00 90.00
Atoms (fractional coordinates):
Eu (0.000, 0.000, 0.000)
Eu (0.500, 0.500, 0.500)
Si (0.000, 0.000, 0.414)
Si (0.000, 0.500, 0.263)
Si (0.000, 0.500, 0.763)
Si (0.500, 0.000, 0.263)
Si (0.500, 0.000, 0.763)
Si (0.500, 0.500, 0.914)
Rh (0.000, 0.000, 0.654)
Rh (0.500, 0.500, 0.154)

Top 10 peaks for 2θ = 10–90°, in order of rising 2θ:
d 4.980, intensity 15.9; d 3.887, intensity 40.4; d 2.985, intensity 57.4; d 2.610, intensity 100.0; d 2.560, intensity 59.1; d 2.111, intensity 48.0; d 1.801, intensity 20.4; d 1.641, intensity 48.5; d 1.451, intensity 17.5; d 1.370, intensity 16.5

=====

3.
Starting from a crystal structure in the Materials Project, relaxed with GGA-PBE, the powder diffractogram of SmEuRh2 was simulated for Cu Ka.
Lines closer than 0.1° are merged.

Structural model:
Lattice parameters (Å, degrees): 7.012 7.012 7.012 90.00 90.00 90.00
Atoms (fractional coordinates):
Sm (0.000, 0.000, 0.000)
Sm (0.000, 0.500, 0.500)
Sm (0.500, 0.000, 0.500)
Sm (0.500, 0.500, 0.000)
Eu (0.000, 0.000, 0.500)
Eu (0.000, 0.500, 0.000)
Eu (0.500, 0.000, 0.000)
Eu (0.500, 0.500, 0.500)
Rh (0.250, 0.250, 0.250)
Rh (0.250, 0.250, 0.750)
Rh (0.250, 0.750, 0.250)
Rh (0.250, 0.750, 0.750)
Rh (0.750, 0.250, 0.250)
Rh (0.750, 0.250, 0.750)
Rh (0.750, 0.750, 0.250)
Rh (0.750, 0.750, 0.750)

Top 9 peaks for 2θ = 10–90°, in order of rising 2θ:
d 3.506, intensity 3.7; d 2.479, intensity 100.0; d 2.024, intensity 1.2; d 1.753, intensity 17.4; d 1.568, intensity 1.6; d 1.431, intensity 35.5; d 1.240, intensity 11.0; d 1.169, intensity 0.8; d 1.109, intensity 16.0

=====

4.
Starting from a crystal structure in the Materials Project, relaxed with GGA-PBE, the powder diffractogram of Eu3Sn13Rh4 was simulated for Cu Ka.
Lines closer than 0.1° are merged.

Structural model:
Lattice parameters (Å, degrees): 9.870 9.870 9.870 90.00 90.00 90.00
Atoms (fractional coordinates):
Eu (0.000, 0.250, 0.500)
Eu (0.000, 0.750, 0.500)
Eu (0.250, 0.500, 0.000)
Eu (0.500, 0.000, 0.250)
Eu (0.500, 0.000, 0.750)
Eu (0.750, 0.500, 0.000)
Sn (0.000, 0.000, 0.000)
Sn (0.000, 0.303, 0.154)
Sn (0.000, 0.303, 0.846)
Sn (0.000, 0.697, 0.154)
Sn (0.000, 0.697, 0.846)
Sn (0.154, 0.000, 0.303)
Sn (0.154, 0.000, 0.697)
Sn (0.197, 0.500, 0.346)
Sn (0.197, 0.500, 0.654)
Sn (0.303, 0.154, 0.000)
Sn (0.303, 0.846, 0.000)
Sn (0.346, 0.197, 0.500)
Sn (0.346, 0.803, 0.500)
Sn (0.500, 0.346, 0.197)
Sn (0.500, 0.346, 0.803)
Sn (0.500, 0.500, 0.500)
Sn (0.500, 0.654, 0.197)
Sn (0.500, 0.654, 0.803)
Sn (0.654, 0.197, 0.500)
Sn (0.654, 0.803, 0.500)
Sn (0.697, 0.154, 0.000)
Sn (0.697, 0.846, 0.000)
Sn (0.803, 0.500, 0.346)
Sn (0.803, 0.500, 0.654)
Sn (0.846, 0.000, 0.303)
Sn (0.846, 0.000, 0.697)
Rh (0.250, 0.250, 0.250)
Rh (0.250, 0.250, 0.750)
Rh (0.250, 0.750, 0.250)
Rh (0.250, 0.750, 0.750)
Rh (0.750, 0.250, 0.250)
Rh (0.750, 0.250, 0.750)
Rh (0.750, 0.750, 0.250)
Rh (0.750, 0.750, 0.750)

Top 10 peaks for 2θ = 10–90°, in order of rising 2θ:
d 2.737, intensity 100.0; d 2.638, intensity 36.8; d 2.467, intensity 23.5; d 2.394, intensity 13.3; d 2.015, intensity 20.2; d 1.693, intensity 14.4; d 1.601, intensity 17.2; d 1.488, intensity 13.4; d 1.410, intensity 10.0; d 1.125, intensity 10.4

=====

5.
Starting from a crystal structure in the Materials Project, relaxed with GGA-PBE, the powder diffractogram of EuSi2Ru2 was simulated for Cu Ka.
Lines closer than 0.1° are merged.

Structural model:
Lattice parameters (Å, degrees): 4.239 4.239 9.885 90.00 90.00 90.00
Atoms (fractional coordinates):
Eu (0.000, 0.000, 0.000)
Eu (0.500, 0.500, 0.500)
Si (0.000, 0.000, 0.361)
Si (0.000, 0.000, 0.639)
Si (0.500, 0.500, 0.139)
Si (0.500, 0.500, 0.861)
Ru (0.000, 0.500, 0.250)
Ru (0.000, 0.500, 0.750)
Ru (0.500, 0.000, 0.250)
Ru (0.500, 0.000, 0.750)

Top 10 peaks for 2θ = 10–90°, in order of rising 2θ:
d 3.896, intensity 31.1; d 2.601, intensity 35.1; d 2.563, intensity 100.0; d 2.471, intensity 17.3; d 2.119, intensity 40.6; d 1.643, intensity 17.1; d 1.609, intensity 18.4; d 1.499, intensity 13.2; d 1.444, intensity 20.3; d 1.294, intensity 22.8

=====

6.
Starting from a crystal structure in the Materials Project, relaxed with GGA-PBE, the powder diffractogram of EuS2 was simulated for Cu Ka.
Lines closer than 0.1° are merged.

Structural model:
Lattice parameters (Å, degrees): 8.317 4.033 7.946 90.00 90.03 90.00
Atoms (fractional coordinates):
Eu (0.210, 0.229, 0.370)
Eu (0.210, 0.271, 0.870)
Eu (0.790, 0.729, 0.130)
Eu (0.790, 0.771, 0.630)
S (0.137, 0.741, 0.125)
S (0.137, 0.759, 0.625)
S (0.498, 0.665, 0.399)
S (0.498, 0.835, 0.899)
S (0.502, 0.165, 0.101)
S (0.502, 0.335, 0.601)
S (0.863, 0.241, 0.375)
S (0.863, 0.259, 0.875)

Top 10 peaks for 2θ = 10–90°, in order of rising 2θ:
d 4.159, intensity 44.0; d 3.629, intensity 85.5; d 3.585, intensity 86.4; d 2.830, intensity 78.4; d 2.772, intensity 42.0; d 2.679, intensity 41.8; d 2.340, intensity 100.0; d 2.285, intensity 28.4; d 2.274, intensity 27.5; d 1.980, intensity 25.2

=====

7.
Starting from a crystal structure in the Materials Project, relaxed with GGA-PBE, the powder diffractogram of EuS was simulated for Cu Ka.
Lines closer than 0.1° are merged.

Structural model:
Lattice parameters (Å, degrees): 3.556 3.556 3.556 90.00 90.00 90.00
Atoms (fractional coordinates):
Eu (0.000, 0.000, 0.000)
S (0.500, 0.500, 0.500)

Top 9 peaks for 2θ = 10–90°, in order of rising 2θ:
d 3.556, intensity 49.8; d 2.514, intensity 100.0; d 2.053, intensity 15.7; d 1.778, intensity 17.2; d 1.590, intensity 21.3; d 1.452, intensity 35.1; d 1.257, intensity 11.0; d 1.185, intensity 10.3; d 1.124, intensity 16.0

=====

8.
Starting from a crystal structure in the Materials Project, relaxed with GGA-PBE, the powder diffractogram of EuS was simulated for Cu Ka.
Lines closer than 0.1° are merged.

Structural model:
Lattice parameters (Å, degrees): 4.106 4.106 28.560 90.00 90.00 90.00
Atoms (fractional coordinates):
Eu (0.000, 0.000, 0.000)
Eu (0.000, 0.000, 0.400)
Eu (0.000, 0.000, 0.600)
Eu (0.500, 0.500, 0.100)
Eu (0.500, 0.500, 0.500)
Eu (0.500, 0.500, 0.900)
S (0.000, 0.000, 0.103)
S (0.000, 0.000, 0.500)
S (0.000, 0.000, 0.897)
S (0.500, 0.500, 0.000)
S (0.500, 0.500, 0.397)
S (0.500, 0.500, 0.603)

Top 10 peaks for 2θ = 10–90°, in order of rising 2θ:
d 3.770, intensity 36.7; d 3.334, intensity 100.0; d 2.903, intensity 87.3; d 2.856, intensity 41.5; d 2.845, intensity 47.4; d 2.252, intensity 25.8; d 2.053, intensity 31.8; d 2.036, intensity 62.4; d 1.748, intensity 33.7; d 1.667, intensity 33.9

=====

9.
Starting from a crystal structure in the Materials Project, relaxed with GGA-PBE, the powder diffractogram of EuS2 was simulated for Cu Ka.
Lines closer than 0.1° are merged.

Structural model:
Lattice parameters (Å, degrees): 5.622 5.622 5.622 60.06 60.06 60.06
Atoms (fractional coordinates):
Eu (0.125, 0.125, 0.125)
Eu (0.875, 0.875, 0.875)
S (0.000, 0.500, 0.500)
S (0.500, 0.000, 0.500)
S (0.500, 0.500, 0.000)
S (0.500, 0.500, 0.500)

Top 10 peaks for 2θ = 10–90°, in order of rising 2θ:
d 4.593, intensity 45.0; d 2.813, intensity 91.8; d 2.399, intensity 100.0; d 1.825, intensity 13.2; d 1.624, intensity 35.4; d 1.531, intensity 31.9; d 1.406, intensity 21.4; d 1.345, intensity 9.9; d 1.258, intensity 15.3; d 1.213, intensity 8.4

=====

10.
Starting from a crystal structure in the Materials Project, relaxed with GGA-PBE, the powder diffractogram of Eu3S was simulated for Cu Ka.
Lines closer than 0.1° are merged.

Structural model:
Lattice parameters (Å, degrees): 9.842 9.842 3.825 90.00 90.00 120.00
Atoms (fractional coordinates):
Eu (0.202, 0.404, 0.250)
Eu (0.202, 0.798, 0.250)
Eu (0.404, 0.202, 0.750)
Eu (0.596, 0.798, 0.250)
Eu (0.798, 0.202, 0.750)
Eu (0.798, 0.596, 0.750)
S (0.333, 0.667, 0.750)
S (0.667, 0.333, 0.250)

Top 10 peaks for 2θ = 10–90°, in order of rising 2θ:
d 4.262, intensity 47.3; d 3.490, intensity 38.1; d 3.221, intensity 56.5; d 2.846, intensity 100.0; d 2.461, intensity 18.1; d 2.281, intensity 45.3; d 1.741, intensity 31.3; d 1.705, intensity 15.9; d 1.645, intensity 16.2; d 1.160, intensity 16.4

=====

11.
Starting from a crystal structure in the Materials Project, relaxed with GGA-PBE, the powder diffractogram of EuS was simulated for Cu Ka.
Lines closer than 0.1° are merged.

Structural model:
Lattice parameters (Å, degrees): 5.845 5.845 5.845 90.00 90.00 90.00
Atoms (fractional coordinates):
Eu (0.000, 0.000, 0.000)
Eu (0.000, 0.500, 0.500)
Eu (0.500, 0.000, 0.500)
Eu (0.500, 0.500, 0.000)
S (0.000, 0.000, 0.500)
S (0.000, 0.500, 0.000)
S (0.500, 0.000, 0.000)
S (0.500, 0.500, 0.500)

Top 10 peaks for 2θ = 10–90°, in order of rising 2θ:
d 3.375, intensity 77.0; d 2.922, intensity 100.0; d 2.066, intensity 73.0; d 1.762, intensity 38.8; d 1.687, intensity 25.4; d 1.461, intensity 11.8; d 1.341, intensity 16.0; d 1.307, intensity 32.7; d 1.193, intensity 24.7; d 1.125, intensity 12.5

=====

12.
Starting from a crystal structure in the Materials Project, relaxed with GGA-PBE, the powder diffractogram of EuS2 was simulated for Cu Ka.
Lines closer than 0.1° are merged.

Structural model:
Lattice parameters (Å, degrees): 3.899 3.899 8.587 90.00 90.00 90.00
Atoms (fractional coordinates):
Eu (0.250, 0.250, 0.213)
Eu (0.750, 0.750, 0.787)
S (0.250, 0.250, 0.865)
S (0.250, 0.750, 0.500)
S (0.750, 0.250, 0.500)
S (0.750, 0.750, 0.135)

Top 10 peaks for 2θ = 10–90°, in order of rising 2θ:
d 4.293, intensity 28.9; d 3.550, intensity 100.0; d 2.862, intensity 24.5; d 2.757, intensity 40.7; d 2.625, intensity 24.8; d 2.320, intensity 64.1; d 2.307, intensity 38.8; d 1.950, intensity 29.5; d 1.709, intensity 26.4; d 1.489, intensity 19.2